Diffraction record for Dy5YSb2Os. The PXRD pattern is theoretical, not measured: it uses a DFT-relaxed cell (PBE, OQMD) and Cu Ka.

Main lines, sorted by position (2θ from 5° to 70°):
(0 1 1), 12.5°, 7.099 Å, rel. 36
(1 3 1), 30.4°, 2.938 Å, rel. 100
(1 2 2), 33.0°, 2.715 Å, rel. 100
(0 5 1), 33.4°, 2.682 Å, rel. 62
(0 3 3), 38.0°, 2.365 Å, rel. 43
(1 5 1), 39.8°, 2.263 Å, rel. 67
(2 0 0), 42.9°, 2.108 Å, rel. 31
(1 2 4), 51.2°, 1.783 Å, rel. 15
(2 5 1), 55.4°, 1.657 Å, rel. 29
(2 3 3), 58.7°, 1.574 Å, rel. 24
(0 6 4), 59.7°, 1.549 Å, rel. 8
(1 7 3), 61.0°, 1.519 Å, rel. 39

Structure:
Cell lengths 4.2165, 14.1782, 8.2017 Å; angles 90.00, 90.00, 90.00 degrees
Space group Amm2 (No. 38)
Inequivalent atoms, fractional coordinates:
Dy (0.0000, 0.0000, 0.0000)
Dy (0.0000, 0.1184, 0.6454)
Dy (0.5000, 0.1977, 0.9612)
Y (0.5000, 0.0000, 0.3678)
Sb (0.0000, 0.1667, 0.2636)
Os (0.5000, 0.0000, 0.7639)

***

Diffraction record for Pr3Si4Pt2Au2. The PXRD pattern is theoretical, not measured: it uses a DFT-relaxed cell (PBE, OQMD) and Cu Ka.

Main lines, sorted by position (2θ from 5° to 70°):
(0 0 2), 7.1°, 12.388 Å, rel. 26
(0 1 1), 21.0°, 4.230 Å, rel. 10
(1 0 5), 27.5°, 3.238 Å, rel. 18
(0 0 8), 28.8°, 3.097 Å, rel. 11
(1 0 7), 32.8°, 2.727 Å, rel. 22
(1 1 4), 32.9°, 2.722 Å, rel. 100
(0 1 9), 38.9°, 2.317 Å, rel. 14
(0 2 0), 42.1°, 2.148 Å, rel. 19
(2 0 0), 42.3°, 2.138 Å, rel. 19
(0 1 11), 45.5°, 1.994 Å, rel. 12
(2 2 0), 61.2°, 1.515 Å, rel. 13
(1 1 16), 68.0°, 1.379 Å, rel. 13

Structure:
Cell lengths 4.2756, 4.2953, 24.7763 Å; angles 90.00, 90.00, 90.00 degrees
Space group Immm (No. 71)
Inequivalent atoms, fractional coordinates:
Pr (0.0000, 0.0000, 0.0000)
Pr (0.0000, 0.5000, 0.1493)
Si (0.0000, 0.0000, 0.4519)
Si (0.0000, 0.5000, 0.3014)
Pt (0.0000, 0.0000, 0.2493)
Au (0.0000, 0.5000, 0.4021)

***

Diffraction record for RbZr3Ge5. The PXRD pattern is theoretical, not measured: it uses a DFT-relaxed cell (PBE, OQMD) and Cu Ka.

Main lines, sorted by position (2θ from 5° to 70°):
(0 0 1), 12.8°, 6.897 Å, rel. 24
(1 1 0), 29.9°, 2.985 Å, rel. 70
(1 0 2), 31.2°, 2.869 Å, rel. 23
(1 1 1), 32.7°, 2.740 Å, rel. 46
(2 0 0), 34.7°, 2.585 Å, rel. 29
(2 0 1), 37.1°, 2.421 Å, rel. 63
(0 0 3), 39.2°, 2.299 Å, rel. 26
(1 0 3), 43.1°, 2.101 Å, rel. 23
(2 0 2), 43.8°, 2.069 Å, rel. 100
(3 0 0), 53.1°, 1.724 Å, rel. 18
(2 2 0), 62.2°, 1.493 Å, rel. 33
(2 0 4), 65.0°, 1.434 Å, rel. 25

Structure:
Cell lengths 5.9705, 5.9705, 6.8971 Å; angles 90.00, 90.00, 120.00 degrees
Space group P6/mmm (No. 191)
Inequivalent atoms, fractional coordinates:
Rb (0.0000, 0.0000, 0.0000)
Zr (0.0000, 0.5000, 0.5000)
Ge (0.0000, 0.0000, 0.5000)
Ge (0.3333, 0.6667, 0.1769)